No. 1
Computed XRD peak list of Al2PH3O7 for λ = 1.5418 Å (Cu Kα), from DFT lattice parameters and positions (GGA-PBE).
Peak positions follow from Bragg's law for the DFT cell and can differ from measured ones.

Structural model:
```
data_Al2PH3O7
_cell_length_a 13.293
_cell_length_b 8.108
_cell_length_c 5.117
_cell_angle_alpha 90.00
_cell_angle_beta 112.54
_cell_angle_gamma 90.00
_space_group_name_H-M_alt 'C 1 2/m 1'
_space_group_IT_number 12
loop_
_space_group_symop_operation_xyz
'x,y,z'
'-x,-y,-z'
'-x,y,-z'
'x,-y,z'
'x+1/2,y+1/2,z'
'-x+1/2,-y+1/2,-z'
'-x+1/2,y+1/2,-z'
'x+1/2,-y+1/2,z'
loop_
_atom_site_label
_atom_site_type_symbol
_atom_site_fract_x
_atom_site_fract_y
_atom_site_fract_z
Al1 Al 0.000 0.199 0.000
Al2 Al 0.186 0.000 0.972
P1 P 0.150 0.500 0.378
H1 H 0.104 0.250 0.679
H2 H 0.133 0.000 0.398
O1 O 0.081 0.343 0.286
O2 O 0.087 0.000 0.194
O3 O 0.105 0.181 0.837
O4 O 0.197 0.500 0.707
O5 O 0.246 0.500 0.279
```

Main lines, by intensity (2θ from 15° to 90°):
2θ = 25.17°, I = 100, hkl 1 1 1
2θ = 26.35°, I = 74, hkl 2 2 0
2θ = 18.79°, I = 40, hkl 2 0 -1
2θ = 48.25°, I = 34, hkl 3 3 1
2θ = 46.22°, I = 24, hkl 6 0 -2
2θ = 21.93°, I = 21, hkl 0 2 0
2θ = 35.78°, I = 19, hkl 2 2 1
2θ = 27.94°, I = 16, hkl 4 0 -1
2θ = 62.48°, I = 13, hkl 8 2 -2
2θ = 29.05°, I = 11, hkl 4 0 0

No. 2
Computed XRD peak list of Al2P3H3O9 for λ = 1.5418 Å (Cu Kα), from DFT lattice parameters and positions (GGA-PBE).
Peak positions follow from Bragg's law for the DFT cell and can differ from measured ones.

Structural model:
```
data_Al2P3H3O9
_cell_length_a 8.0039
_cell_length_b 8.0039
_cell_length_c 7.1828
_cell_angle_alpha 90.00
_cell_angle_beta 90.00
_cell_angle_gamma 120.00
_space_group_name_H-M_alt 'P 63/m'
_space_group_IT_number 176
_space_group_name_Hall '-P 6c'
loop_
_atom_site_label
_atom_site_type_symbol
_atom_site_fract_x
_atom_site_fract_y
_atom_site_fract_z
Al1 Al 0.3333 0.6667 0.0547
P1 P 0.0494 0.6858 0.7500
H1 H 0.0085 0.1753 0.2500
O1 O 0.1394 0.5155 0.2500
O2 O 0.1629 0.7160 0.5712
```

Main lines, by intensity (2θ from 15° to 90°):
2θ = 25.48°, I = 100, hkl 1 1 1
2θ = 28.60°, I = 24, hkl 2 0 1
2θ = 33.53°, I = 23, hkl 1 1 2
2θ = 34.23°, I = 19, hkl 2 1 0
2θ = 61.90°, I = 11, hkl 3 1 3
2θ = 51.72°, I = 11, hkl 1 2 3
2θ = 54.11°, I = 10, hkl 3 1 2
2θ = 38.98°, I = 8, hkl 3 0 0
2θ = 52.34°, I = 7, hkl 2 2 2
2θ = 36.01°, I = 7, hkl 2 0 2